# Eu3Mg
Computed X-ray diffraction stick pattern, Cu Kα, 1.54184 Å. Input: a cell relaxed with GGA-PBE.

Atomic structure:
```
Eu3Mg
1.0
7.5308 0.0000 0.0000
-3.7654 6.5219 0.0000
0.0000 0.0000 6.0697
Eu Mg
6 2
direct
0.1706 0.3413 0.2500
0.1706 0.8294 0.2500
0.3413 0.1706 0.7500
0.6587 0.8294 0.2500
0.8294 0.1706 0.7500
0.8294 0.6587 0.7500
0.3333 0.6667 0.7500
0.6667 0.3333 0.2500
```

Main lines, sorted by position (10 to 80 degrees two-theta):
19.98°, I 23, hkl 1 0 1
27.35°, I 23, hkl 2 0 0
29.43°, I 26, hkl 0 0 2
31.13°, I 100, hkl 2 0 1
40.61°, I 16, hkl 2 0 2
48.34°, I 19, hkl 2 2 0
53.28°, I 22, hkl 2 0 3
57.62°, I 23, hkl 2 2 2